# NaSnMoF6
Theoretical X-ray diffraction stick pattern, Cu Kα (weighted mean of Kα1 and Kα2). Input: the GGA+U geometry in Alexandria.

```
data_NaSnMoF6
_cell_length_a 5.8043
_cell_length_b 5.8043
_cell_length_c 10.0474
_cell_angle_alpha 90.00
_cell_angle_beta 90.00
_cell_angle_gamma 120.00
_symmetry_space_group_name_H-M 'P -3 1 c'
_symmetry_Int_Tables_number 163
_symmetry_space_group_name_Hall '-P 3 2c'
loop_
_atom_site_label
_atom_site_type_symbol
_atom_site_fract_x
_atom_site_fract_y
_atom_site_fract_z
Na1 Na 0.3333 0.6667 0.2500
Sn1 Sn 0.0000 0.0000 0.0000
Mo1 Mo 0.3333 0.6667 0.7500
F1 F 0.0282 0.3618 0.6357
```

Top 10 peaks for 2θ from 15° to 90°, in order of rising 2θ:
2θ/deg	d [Å]	I/Imax
19.7	4.495	28
25.1	3.553	100
30.8	2.902	30
35.7	2.513	18
40.1	2.248	32
47.9	1.899	47
51.4	1.777	29
54.8	1.676	20
67.2	1.394	13
75.7	1.256	22